Record 1
Simulated powder X-ray diffraction pattern of Mg6CdMo for copper Kα, from a structure optimized by DFT (GGA-PBE).
Lines closer than 0.1° are merged.

Atomic structure:
```
Mg6CdMo
1.0
4.9328 0.0000 0.0000
0.0000 6.1955 0.0000
0.0000 0.0000 10.7040
Mg Cd Mo
12 2 2
Direct
0.0000 0.0000 0.0000
0.0000 0.2375 0.7448
0.0000 0.2625 0.2448
0.0000 0.5000 0.5000
0.0000 0.7375 0.2448
0.0000 0.7625 0.7448
0.5000 0.0000 0.1676
0.5000 0.2483 0.4156
0.5000 0.2517 0.9156
0.5000 0.5000 0.6676
0.5000 0.7483 0.9156
0.5000 0.7517 0.4156
0.0000 0.0000 0.5060
0.0000 0.5000 0.0060
0.5000 0.0000 0.6702
0.5000 0.5000 0.1702
```

Main lines, in order of falling intensity (5° ≤ 2θ ≤ 70°):
- hkl 1 0 4, 2.354 Å, 2θ = 38.23°, rel. 100.0
- hkl 0 1 1, 5.361 Å, 2θ = 16.54°, rel. 65.0
- hkl 1 0 2, 3.628 Å, 2θ = 24.53°, rel. 33.1
- hkl 2 0 0, 2.466 Å, 2θ = 36.43°, rel. 25.7
- hkl 0 2 2, 2.679 Å, 2θ = 33.44°, rel. 24.4
- hkl 1 1 3, 2.620 Å, 2θ = 34.23°, rel. 23.5
- hkl 3 0 4, 1.401 Å, 2θ = 66.75°, rel. 18.1
- hkl 2 2 2, 1.815 Å, 2θ = 50.28°, rel. 14.8
- hkl 2 1 1, 2.241 Å, 2θ = 40.25°, rel. 13.8
- hkl 1 2 4, 1.873 Å, 2θ = 48.60°, rel. 12.6

=====

Record 2
Simulated powder X-ray diffraction pattern of PrHoTl2 for copper Kα, from a structure optimized by DFT (GGA-PBE).
Lines closer than 0.1° are merged.

Atomic structure:
```
PrHoTl2
1.0
7.7246 0.0000 0.0000
0.0000 7.7246 0.0000
0.0000 0.0000 7.7246
Pr Ho Tl
4 4 8
Direct
0.0000 0.0000 0.0000
0.0000 0.5000 0.5000
0.5000 0.0000 0.5000
0.5000 0.5000 0.0000
0.0000 0.0000 0.5000
0.0000 0.5000 0.0000
0.5000 0.0000 0.0000
0.5000 0.5000 0.5000
0.2500 0.2500 0.2500
0.2500 0.2500 0.7500
0.2500 0.7500 0.2500
0.2500 0.7500 0.7500
0.7500 0.2500 0.2500
0.7500 0.2500 0.7500
0.7500 0.7500 0.2500
0.7500 0.7500 0.7500
```

Main lines, in order of falling intensity (5° ≤ 2θ ≤ 70°):
- hkl 2 2 0, 2.731 Å, 2θ = 32.79°, rel. 100.0
- hkl 4 2 2, 1.577 Å, 2θ = 58.54°, rel. 38.8
- hkl 4 0 0, 1.931 Å, 2θ = 47.06°, rel. 18.5
- hkl 4 4 0, 1.366 Å, 2θ = 68.74°, rel. 12.0
- hkl 2 0 0, 3.862 Å, 2θ = 23.03°, rel. 2.1
- hkl 4 2 0, 1.727 Å, 2θ = 53.02°, rel. 1.0
- hkl 2 2 2, 2.230 Å, 2θ = 40.45°, rel. 0.7

=====

Record 3
Simulated powder X-ray diffraction pattern of CsGdTe4 for copper Kα, from a structure optimized by DFT (GGA-PBE).
Lines closer than 0.1° are merged.

Atomic structure:
```
CsGdTe4
1.0
6.9203 0.0000 0.0000
0.0000 6.9203 0.0000
0.0000 0.0000 9.5739
Cs Gd Te
2 2 8
Direct
0.2500 0.2500 0.0000
0.7500 0.7500 0.0000
0.2500 0.2500 0.5000
0.7500 0.7500 0.5000
0.1058 0.6058 0.3063
0.1058 0.8942 0.6937
0.3942 0.6058 0.6937
0.3942 0.8942 0.3063
0.6058 0.1058 0.6937
0.6058 0.3942 0.3063
0.8942 0.1058 0.3063
0.8942 0.3942 0.6937
```

Main lines, in order of falling intensity (5° ≤ 2θ ≤ 70°):
- hkl 1 1 2, 3.422 Å, 2θ = 26.04°, rel. 100.0
- hkl 2 1 1, 2.945 Å, 2θ = 30.35°, rel. 93.0
- hkl 0 0 1, 9.574 Å, 2θ = 9.24°, rel. 54.4
- hkl 3 1 0, 2.188 Å, 2θ = 41.25°, rel. 50.4
- hkl 2 0 2, 2.804 Å, 2θ = 31.91°, rel. 45.2
- hkl 2 1 2, 2.599 Å, 2θ = 34.51°, rel. 31.6
- hkl 2 1 4, 1.893 Å, 2θ = 48.06°, rel. 28.5
- hkl 4 0 2, 1.627 Å, 2θ = 56.56°, rel. 24.6
- hkl 0 0 3, 3.191 Å, 2θ = 27.96°, rel. 19.0
- hkl 3 3 2, 1.544 Å, 2θ = 59.91°, rel. 18.8

=====

Record 4
Simulated powder X-ray diffraction pattern of Ba8LiNb7O24 for copper Kα, from a structure optimized by DFT (GGA-PBE).
Lines closer than 0.1° are merged.

Atomic structure:
```
Ba8LiNb7O24
1.0
5.9224 0.0000 0.0000
-2.9612 5.1289 0.0000
0.0000 0.0000 19.2225
Ba Li Nb O
8 1 7 24
Direct
0.0000 0.0000 0.0000
0.0000 0.0000 0.2220
0.0000 0.0000 0.6149
0.3333 0.6667 0.3594
0.3333 0.6667 0.8674
0.6667 0.3333 0.1173
0.6667 0.3333 0.4974
0.6667 0.3333 0.7304
0.3333 0.6667 0.1966
0.0000 0.0000 0.4251
0.0000 0.0000 0.8047
0.3333 0.6667 0.0552
0.3333 0.6667 0.5477
0.3333 0.6667 0.6831
0.6667 0.3333 0.2992
0.6667 0.3333 0.9256
0.0098 0.5049 0.6150
0.1639 0.3277 0.4895
0.1645 0.3289 0.7419
0.1639 0.8361 0.4895
0.1645 0.8355 0.7419
0.1748 0.3495 0.1087
0.1748 0.8252 0.1087
0.3316 0.1658 0.3690
0.3344 0.1672 0.8644
0.4951 0.5049 0.6150
0.4951 0.9902 0.6150
0.5018 0.0037 0.9859
0.5018 0.4982 0.9859
0.5070 0.0141 0.2463
0.5070 0.4930 0.2463
0.6505 0.8252 0.1087
0.6711 0.8355 0.7419
0.6723 0.8361 0.4895
0.8328 0.1672 0.8644
0.8328 0.6656 0.8644
0.8342 0.1658 0.3690
0.8342 0.6684 0.3690
0.9859 0.4930 0.2463
0.9963 0.4982 0.9859
```

Main lines, in order of falling intensity (5° ≤ 2θ ≤ 70°):
- hkl 1 1 0, 2.961 Å, 2θ = 30.18°, rel. 100.0
- hkl 0 1 5, 3.076 Å, 2θ = 29.03°, rel. 70.0
- hkl 2 0 5, 2.133 Å, 2θ = 42.37°, rel. 40.0
- hkl 1 2 5, 1.731 Å, 2θ = 52.89°, rel. 26.2
- hkl 0 1 6, 2.717 Å, 2θ = 32.96°, rel. 21.6
- hkl 3 0 0, 1.710 Å, 2θ = 53.61°, rel. 19.9
- hkl 2 2 0, 1.481 Å, 2θ = 62.76°, rel. 19.8
- hkl 1 0 10, 1.799 Å, 2θ = 50.73°, rel. 15.9
- hkl 2 0 6, 2.002 Å, 2θ = 45.30°, rel. 15.9
- hkl 1 0 4, 3.507 Å, 2θ = 25.40°, rel. 14.0